Diffraction record for Na3InSi2GeSO12. The XRD peak list is computed, not measured: it uses a DFT-relaxed cell (GGA-PBE, the Materials Project) and CuKα.
Intensities are scaled so that the largest is 100.

Most intense lines, 15 to 90 degrees two-theta, by intensity:
2theta, d [Å], Rel. int.
19.65, 4.518, 100
34.10, 2.630, 87
19.79, 4.486, 85
30.39, 2.941, 84
19.06, 4.656, 83
31.04, 2.881, 71

```
data_Na3InSi2GeSO12
_cell_length_a 8.9829
_cell_length_b 8.9829
_cell_length_c 9.3124
_cell_angle_alpha 120.75
_cell_angle_beta 120.75
_cell_angle_gamma 61.24
_space_group_name_H-M_alt 'P 1'
_space_group_IT_number 1
loop_
_space_group_symop_operation_xyz
'x,y,z'
loop_
_atom_site_label
_atom_site_fract_x
_atom_site_fract_y
_atom_site_fract_z
Na1 0.0643 0.9357 0.5000
Na2 0.2009 0.6816 0.1281
Na3 0.2970 0.4433 0.7221
Na4 0.4433 0.2970 0.2221
Na5 0.6816 0.2009 0.6281
Na6 0.9357 0.0643 0.0000
In1 0.3363 0.8255 0.9676
In2 0.8255 0.3363 0.4676
Si1 0.1310 0.2264 0.8641
Si2 0.2264 0.1310 0.3641
Si3 0.4206 0.6416 0.5723
Si4 0.6416 0.4206 0.0723
Ge1 0.0615 0.4882 0.2409
Ge2 0.4882 0.0615 0.7409
S1 0.7382 0.9208 0.1535
S2 0.9208 0.7382 0.6535
O1 0.0552 0.1558 0.3963
O2 0.0778 0.7590 0.8286
O3 0.1301 0.4092 0.0531
O4 0.1558 0.0552 0.8963
O5 0.2069 0.3167 0.3448
O6 0.2268 0.6288 0.3831
O7 0.2473 0.9520 0.1901
O8 0.3167 0.2069 0.8448
O9 0.3856 0.6520 0.7296
O10 0.4092 0.1301 0.5531
O11 0.4416 0.8421 0.6187
O12 0.4562 0.5787 0.0223
O13 0.5784 0.8920 0.1310
O14 0.5787 0.4562 0.5223
O15 0.6288 0.2268 0.8831
O16 0.6520 0.3856 0.2296
O17 0.7102 0.9623 0.0064
O18 0.7590 0.0778 0.3286
O19 0.7646 0.9042 0.6781
O20 0.8421 0.4416 0.1187
O21 0.8920 0.5784 0.6310
O22 0.9042 0.7646 0.1781
O23 0.9520 0.2473 0.6901
O24 0.9623 0.7102 0.5064
```